No. 1
Simulated powder diffraction line list of AlCd5Au6 for Cu Kα (weighted mean of Kα1 and Kα2), from a GGA-PBE-relaxed structure.

Structure:
a = 14.554 Å, b = 7.085 Å, c = 4.668 Å
α = 90.00°, β = 108.35°, γ = 90.00°
Space group C2/m (No. 12)
Inequivalent atoms, fractional coordinates:
Al 0.000 0.000 0.000
Cd 0.000 0.500 0.000
Cd 0.158 0.500 0.660
Cd 0.189 0.000 0.694
Au 0.000 0.210 0.500
Au 0.153 0.227 0.158

Peak list (10 most intense, 2θ = 15–90°, by intensity)
37.3°, I 100, hkl 2 2 1; 37.4°, I 98, hkl 4 2 -1; 38.6°, I 53, hkl 2 0 -2; 39.1°, I 40, hkl 6 0 0; 68.9°, I 17, hkl 0 2 3; 66.2°, I 17, hkl 2 4 -2; 69.1°, I 16, hkl 6 2 -3; 51.6°, I 15, hkl 0 4 0; 55.9°, I 15, hkl 4 0 2; 27.1°, I 14, hkl 2 0 1

---

No. 2
Simulated powder diffraction line list of AlCdAu3 for Cu Kα (weighted mean of Kα1 and Kα2), from a GGA-PBE-relaxed structure.

Structure:
a = 7.491 Å, b = 6.745 Å, c = 7.714 Å
α = 90.00°, β = 100.20°, γ = 90.00°
Space group P2_1/c (No. 14)
Inequivalent atoms, fractional coordinates:
Al 0.064 0.241 0.347
Cd 0.373 0.562 0.287
Au 0.143 0.639 0.935
Au 0.207 0.022 0.107
Au 0.410 0.181 0.465

Peak list (10 most intense, 2θ = 15–90°, by intensity)
41.9°, I 100, hkl 0 3 1; 37.9°, I 90, hkl 1 1 -3; 31.7°, I 73, hkl 2 1 1; 36.6°, I 60, hkl 2 2 -1; 36.3°, I 59, hkl 1 2 -2; 39.3°, I 54, hkl 2 1 2; 40.0°, I 50, hkl 3 0 -2; 27.6°, I 49, hkl 2 1 0; 39.4°, I 43, hkl 2 2 1; 23.4°, I 39, hkl 0 0 2

---

No. 3
Simulated powder diffraction line list of Ho2Al3CdAu4 for Cu Kα (weighted mean of Kα1 and Kα2), from a GGA-PBE-relaxed structure.

Structure:
a = 4.285 Å, b = 4.285 Å, c = 11.189 Å
α = 90.00°, β = 90.00°, γ = 90.00°
Space group P-4m2 (No. 115)
Inequivalent atoms, fractional coordinates:
Ho 0.000 0.500 0.240
Al 0.000 0.500 0.874
Al 0.500 0.500 0.500
Cd 0.000 0.000 0.500
Au 0.000 0.000 0.000
Au 0.000 0.500 0.655
Au 0.500 0.500 0.000

Peak list (10 most intense, 2θ = 15–90°, by intensity)
33.6°, I 100, hkl 1 1 2; 42.2°, I 46, hkl 2 0 0; 26.2°, I 24, hkl 1 0 2; 45.7°, I 24, hkl 1 0 5; 31.8°, I 23, hkl 1 0 3; 71.7°, I 23, hkl 3 1 2; 30.6°, I 22, hkl 1 1 1; 64.0°, I 17, hkl 2 1 5; 23.9°, I 17, hkl 0 0 3; 61.2°, I 15, hkl 2 2 0

---

No. 4
Simulated powder diffraction line list of K2AlCdAu6 for Cu Kα (weighted mean of Kα1 and Kα2), from a GGA-PBE-relaxed structure.

Structure:
a = 6.990 Å, b = 7.016 Å, c = 7.345 Å
α = 61.97°, β = 61.96°, γ = 60.24°
Space group P-1 (No. 2)
Inequivalent atoms, fractional coordinates:
K 0.210 0.209 0.374
Al 0.000 0.000 0.000
Cd 0.500 0.500 0.500
Au 0.241 0.243 0.866
Au 0.241 0.650 0.867
Au 0.352 0.760 0.132

Peak list (10 most intense, 2θ = 15–90°, by intensity)
17.5°, I 100, hkl 1 0 1; 35.3°, I 75, hkl 0 2 2; 40.4°, I 74, hkl 2 -1 1; 47.2°, I 73, hkl 3 3 1; 30.9°, I 71, hkl 0 2 0; 31.1°, I 71, hkl 2 2 2; 31.0°, I 70, hkl 2 0 0; 15.3°, I 69, hkl 1 0 0; 28.3°, I 58, hkl 0 1 2; 38.2°, I 54, hkl 0 2 -1